Theoretical XRD peak list of CaSn4S9 for Cu Kα, 1.54184 Å, from a DFT-relaxed cell (PBE, the Materials Project).
Neutral-atom scattering factors, no anomalous dispersion.

The 10 most intense peaks (5 to 70 degrees two-theta), low angle first:
- d 7.191, 12.31 deg, I 100
- d 4.763, 18.63 deg, I 62
- d 3.783, 23.52 deg, I 72
- d 3.595, 24.76 deg, I 40
- d 3.476, 25.63 deg, I 74
- d 3.130, 28.52 deg, I 84
- d 2.634, 34.03 deg, I 30
- d 2.339, 38.49 deg, I 33
- d 2.076, 43.60 deg, I 38
- d 1.932, 47.03 deg, I 33

Atomic structure:
```
CaSn4S9
1.0
14.3819 0.0000 0.0000
-7.1909 12.4551 0.0000
0.0000 0.0000 6.3570
Ca Sn S
3 12 27
Direct
0.0000 0.6718 0.0000
0.3282 0.3282 0.0000
0.6718 0.0000 0.0000
0.0000 0.0000 0.0000
0.0000 0.1818 0.5000
0.1491 0.4951 0.3899
0.1818 0.0000 0.5000
0.3333 0.6667 0.8761
0.3460 0.8509 0.3899
0.4951 0.1491 0.6101
0.5049 0.6540 0.3899
0.6540 0.5049 0.6101
0.6667 0.3333 0.1239
0.8182 0.8182 0.5000
0.8509 0.3460 0.6101
0.0000 0.5179 0.5000
0.0452 0.8816 0.7596
0.0986 0.3218 0.2325
0.1184 0.1636 0.7596
0.1636 0.1184 0.2404
0.1727 0.6241 0.1136
0.2232 0.9014 0.2325
0.2325 0.7379 0.6685
0.2621 0.4946 0.6685
0.3218 0.0986 0.7675
0.3759 0.5485 0.1136
0.4515 0.8273 0.1136
0.4821 0.4821 0.5000
0.4946 0.2621 0.3315
0.5054 0.7675 0.6685
0.5179 0.0000 0.5000
0.5485 0.3759 0.8864
0.6241 0.1727 0.8864
0.6782 0.7768 0.2325
0.7379 0.2325 0.3315
0.7675 0.5054 0.3315
0.7768 0.6782 0.7675
0.8273 0.4515 0.8864
0.8364 0.9548 0.7596
0.8816 0.0452 0.2404
0.9014 0.2232 0.7675
0.9548 0.8364 0.2404
```

---

Theoretical XRD peak list of TiS2 for Cu Kα, 1.54184 Å, from a DFT-relaxed cell (PBE, the Materials Project).
Neutral-atom scattering factors, no anomalous dispersion.

The 10 most intense peaks (5 to 70 degrees two-theta), low angle first:
- d 4.067, 21.85 deg, I 100
- d 2.889, 30.95 deg, I 43
- d 2.670, 33.56 deg, I 54
- d 2.613, 34.31 deg, I 81
- d 2.103, 43.02 deg, I 30
- d 2.034, 44.55 deg, I 31
- d 2.008, 45.15 deg, I 82
- d 1.753, 52.18 deg, I 45
- d 1.705, 53.75 deg, I 21
- d 1.548, 59.72 deg, I 14

Atomic structure:
```
TiS2
1.0
5.4358 0.0000 0.0000
0.0000 6.1309 0.0000
0.0000 0.0000 3.4108
Ti S
2 4
Direct
0.0000 0.0000 0.0000
0.5000 0.5000 0.5000
0.2470 0.3445 0.0000
0.2530 0.8445 0.5000
0.7470 0.1555 0.5000
0.7530 0.6555 0.0000
```

---

Theoretical XRD peak list of Ca2Mg for Cu Kα, 1.54184 Å, from a DFT-relaxed cell (PBE, the Materials Project).
Neutral-atom scattering factors, no anomalous dispersion.

The 10 most intense peaks (5 to 70 degrees two-theta), low angle first:
- d 3.692, 24.10 deg, I 17
- d 3.215, 27.75 deg, I 16
- d 3.150, 28.33 deg, I 14
- d 2.958, 30.21 deg, I 37
- d 2.825, 31.67 deg, I 100
- d 2.780, 32.19 deg, I 29
- d 2.177, 41.48 deg, I 10
- d 1.681, 54.59 deg, I 19
- d 1.580, 58.40 deg, I 10
- d 1.557, 59.36 deg, I 11

Atomic structure:
```
Ca2Mg
1.0
3.7387 0.0000 0.0000
0.0000 18.8993 0.0000
0.0000 0.0000 5.9168
Ca Mg
8 4
Direct
0.0000 0.0924 0.2500
0.0000 0.2137 0.7500
0.0000 0.7863 0.2500
0.0000 0.9076 0.7500
0.5000 0.2863 0.2500
0.5000 0.4076 0.7500
0.5000 0.5924 0.2500
0.5000 0.7137 0.7500
0.0000 0.4418 0.2500
0.0000 0.5582 0.7500
0.5000 0.0582 0.7500
0.5000 0.9418 0.2500
```

---

Theoretical XRD peak list of Er2Ru2O7 for Cu Kα, 1.54184 Å, from a DFT-relaxed cell (PBE, the Materials Project).
Neutral-atom scattering factors, no anomalous dispersion.

The 10 most intense peaks (5 to 70 degrees two-theta), low angle first:
- d 5.868, 15.10 deg, I 5
- d 3.065, 29.14 deg, I 2
- d 2.934, 30.46 deg, I 100
- d 2.541, 35.32 deg, I 33
- d 2.332, 38.61 deg, I 5
- d 1.956, 46.42 deg, I 2
- d 1.797, 50.81 deg, I 47
- d 1.718, 53.32 deg, I 2
- d 1.532, 60.41 deg, I 42
- d 1.467, 63.40 deg, I 10

Atomic structure:
```
Er2Ru2O7
1.0
0.0000 5.0822 5.0822
5.0822 0.0000 5.0822
5.0822 5.0822 0.0000
Er Ru O
4 4 14
Direct
0.0000 0.0000 0.0000
0.0000 0.0000 0.5000
0.0000 0.5000 0.0000
0.5000 0.0000 0.0000
0.0000 0.5000 0.5000
0.5000 0.0000 0.5000
0.5000 0.5000 0.0000
0.5000 0.5000 0.5000
0.1250 0.1250 0.1250
0.1634 0.1634 0.5866
0.1634 0.5866 0.1634
0.1634 0.5866 0.5866
0.4134 0.4134 0.8366
0.4134 0.8366 0.4134
0.4134 0.8366 0.8366
0.5866 0.1634 0.1634
0.5866 0.1634 0.5866
0.5866 0.5866 0.1634
0.8366 0.4134 0.4134
0.8366 0.4134 0.8366
0.8366 0.8366 0.4134
0.8750 0.8750 0.8750
```

---

Theoretical XRD peak list of TmAl10Fe2 for Cu Kα, 1.54184 Å, from a DFT-relaxed cell (PBE, the Materials Project).
Neutral-atom scattering factors, no anomalous dispersion.

The 10 most intense peaks (5 to 70 degrees two-theta), low angle first:
- d 6.686, 13.24 deg, I 38
- d 5.357, 16.55 deg, I 44
- d 3.158, 28.26 deg, I 43
- d 3.132, 28.50 deg, I 40
- d 2.721, 32.92 deg, I 32
- d 2.570, 34.91 deg, I 44
- d 2.406, 37.38 deg, I 37
- d 2.228, 40.49 deg, I 100
- d 2.198, 41.07 deg, I 86
- d 1.566, 58.96 deg, I 35

Atomic structure:
```
TmAl10Fe2
1.0
4.4614 -5.0489 0.0000
4.4614 5.0489 0.0000
0.0000 0.0000 8.9498
Tm Al Fe
2 20 4
Direct
0.1252 0.8748 0.7500
0.8748 0.1252 0.2500
0.1341 0.4153 0.7500
0.1566 0.8434 0.0963
0.1566 0.8434 0.4037
0.2203 0.4765 0.2500
0.2269 0.2269 0.0000
0.2269 0.2269 0.5000
0.3743 0.6257 0.5475
0.3743 0.6257 0.9525
0.4153 0.1341 0.2500
0.4765 0.2203 0.7500
0.5235 0.7797 0.2500
0.5847 0.8659 0.7500
0.6257 0.3743 0.0475
0.6257 0.3743 0.4525
0.7731 0.7731 0.0000
0.7731 0.7731 0.5000
0.7797 0.5235 0.7500
0.8434 0.1566 0.5963
0.8434 0.1566 0.9037
0.8659 0.5847 0.2500
0.0000 0.5000 0.0000
0.0000 0.5000 0.5000
0.5000 0.0000 0.0000
0.5000 0.0000 0.5000
```

---

Theoretical XRD peak list of Sr2Al5Pd4 for Cu Kα, 1.54184 Å, from a DFT-relaxed cell (PBE, the Materials Project).
Neutral-atom scattering factors, no anomalous dispersion.

The 10 most intense peaks (5 to 70 degrees two-theta), low angle first:
- d 4.029, 22.06 deg, I 54
- d 3.688, 24.13 deg, I 58
- d 3.199, 27.89 deg, I 44
- d 3.024, 29.54 deg, I 42
- d 2.753, 32.52 deg, I 58
- d 2.676, 33.48 deg, I 64
- d 2.496, 35.99 deg, I 51
- d 2.399, 37.50 deg, I 54
- d 2.194, 41.15 deg, I 97
- d 2.161, 41.80 deg, I 100

Atomic structure:
```
Sr2Al5Pd4
1.0
18.3096 0.0000 0.0000
0.0000 4.3217 0.0000
0.0000 0.0000 11.1386
Sr Al Pd
8 20 16
Direct
0.0077 0.2500 0.2393
0.1935 0.7500 0.1662
0.3065 0.2500 0.6662
0.4923 0.7500 0.7393
0.5077 0.2500 0.2607
0.6935 0.7500 0.3338
0.8065 0.2500 0.8338
0.9923 0.7500 0.7607
0.0465 0.2500 0.5444
0.1012 0.2500 0.9525
0.1627 0.7500 0.6090
0.1734 0.7500 0.8580
0.1776 0.2500 0.4288
0.3224 0.7500 0.9288
0.3266 0.2500 0.3580
0.3373 0.2500 0.1090
0.3988 0.7500 0.4525
0.4535 0.7500 0.0444
0.5465 0.2500 0.9556
0.6012 0.2500 0.5475
0.6627 0.7500 0.8910
0.6734 0.7500 0.6420
0.6776 0.2500 0.0712
0.8224 0.7500 0.5712
0.8266 0.2500 0.1420
0.8373 0.2500 0.3910
0.8988 0.7500 0.0475
0.9535 0.7500 0.4556
0.0485 0.7500 0.0151
0.0908 0.7500 0.4199
0.1359 0.2500 0.7250
0.2443 0.2500 0.9353
0.2557 0.7500 0.4353
0.3641 0.7500 0.2250
0.4092 0.2500 0.9199
0.4515 0.2500 0.5151
0.5485 0.7500 0.4849
0.5908 0.7500 0.0801
0.6359 0.2500 0.7750
0.7443 0.2500 0.5647
0.7557 0.7500 0.0647
0.8641 0.7500 0.2750
0.9092 0.2500 0.5801
0.9515 0.2500 0.9849
```

---

Theoretical XRD peak list of Mg7Si4 for Cu Kα, 1.54184 Å, from a DFT-relaxed cell (PBE, the Materials Project).
Neutral-atom scattering factors, no anomalous dispersion.

The 10 most intense peaks (5 to 70 degrees two-theta), low angle first:
- d 2.741, 32.67 deg, I 36
- d 2.703, 33.14 deg, I 43
- d 2.677, 33.48 deg, I 59
- d 2.554, 35.13 deg, I 37
- d 2.526, 35.54 deg, I 40
- d 2.449, 36.69 deg, I 29
- d 2.397, 37.52 deg, I 27
- d 2.333, 38.59 deg, I 36
- d 2.293, 39.29 deg, I 31
- d 2.130, 42.44 deg, I 100

Atomic structure:
```
Mg7Si4
1.0
4.2608 0.0000 0.0000
-0.0274 7.0376 0.0000
-1.8400 -1.4230 15.1474
Mg Si
14 8
Direct
0.0000 0.0000 0.0000
0.0015 0.5465 0.9850
0.1238 0.9518 0.1995
0.1693 0.6219 0.3134
0.2062 0.2445 0.4019
0.2528 0.9382 0.5391
0.3036 0.4172 0.5992
0.4471 0.7403 0.8778
0.4647 0.2591 0.9037
0.6407 0.3088 0.2576
0.6917 0.9424 0.3681
0.7451 0.5662 0.4635
0.9050 0.4292 0.7639
0.9182 0.0060 0.7968
0.0750 0.2941 0.1317
0.3785 0.8244 0.7074
0.3924 0.1759 0.7249
0.5323 0.7716 0.0627
0.5495 0.4280 0.0845
0.6297 0.7084 0.2169
0.7493 0.1991 0.5131
0.8520 0.7003 0.6397
```